[1]
Diffraction record for MgScVNi. The powder diffractogram is computed, not measured: it uses a structure optimized by DFT (GGA-PBE) and Cu Kα.
Intensities are scaled so that the largest is 1000.

Principal peaks in the range 5° ≤ 2θ ≤ 70°, sorted by position:
- 19.28 deg, d 4.603, I = 530
- 20.14 deg, d 4.409, I = 446
- 34.58 deg, d 2.594, I = 563
- 35.34 deg, d 2.540, I = 376
- 39.14 deg, d 2.302, I = 398
- 40.08 deg, d 2.250, I = 951
- 40.60 deg, d 2.222, I = 1000
- 40.94 deg, d 2.205, I = 477
- 46.83 deg, d 1.940, I = 325
- 47.29 deg, d 1.922, I = 344

Structure:
a = 5.294 Å, b = 5.294 Å, c = 5.304 Å
α = 118.47°, β = 118.47°, γ = 32.63°
Atoms (fractional coordinates):
Mg 0.000 0.000 0.000
Sc 0.414 0.414 0.421
V 0.213 0.213 0.797
Ni 0.704 0.704 0.427


[2]
Diffraction record for MgSc2Zn2Ni5. The powder diffractogram is computed, not measured: it uses a structure optimized by DFT (GGA-PBE) and Cu Kα.
Intensities are scaled so that the largest is 1000.

Principal peaks in the range 5° ≤ 2θ ≤ 70°, sorted by position:
- 13.98 deg, d 6.333, I = 251
- 22.19 deg, d 4.006, I = 334
- 37.76 deg, d 2.382, I = 175
- 40.45 deg, d 2.230, I = 1000
- 41.57 deg, d 2.172, I = 433
- 42.84 deg, d 2.111, I = 162
- 44.23 deg, d 2.048, I = 691
- 47.78 deg, d 1.904, I = 271
- 50.47 deg, d 1.808, I = 297
- 67.38 deg, d 1.390, I = 184

Structure:
a = 8.957 Å, b = 8.957 Å, c = 3.616 Å
α = 90.00°, β = 90.00°, γ = 90.00°
Atoms (fractional coordinates):
Mg 0.000 0.000 0.000
Mg 0.500 0.500 0.000
Sc 0.177 0.323 0.000
Sc 0.323 0.823 0.000
Sc 0.677 0.177 0.000
Sc 0.823 0.677 0.000
Zn 0.120 0.620 0.000
Zn 0.380 0.120 0.000
Zn 0.620 0.880 0.000
Zn 0.880 0.380 0.000
Ni 0.000 0.500 0.500
Ni 0.067 0.792 0.500
Ni 0.208 0.067 0.500
Ni 0.292 0.567 0.500
Ni 0.433 0.292 0.500
Ni 0.500 0.000 0.500
Ni 0.567 0.708 0.500
Ni 0.708 0.433 0.500
Ni 0.792 0.933 0.500
Ni 0.933 0.208 0.500


[3]
Diffraction record for Mg3Si5Ni6. The powder diffractogram is computed, not measured: it uses a structure optimized by DFT (GGA-PBE) and Cu Kα.
Intensities are scaled so that the largest is 1000.

Principal peaks in the range 5° ≤ 2θ ≤ 70°, sorted by position:
- 21.74 deg, d 4.087, I = 664
- 34.32 deg, d 2.613, I = 401
- 39.42 deg, d 2.286, I = 823
- 40.32 deg, d 2.237, I = 319
- 43.40 deg, d 2.085, I = 457
- 45.09 deg, d 2.011, I = 268
- 46.35 deg, d 1.959, I = 343
- 46.51 deg, d 1.953, I = 215
- 46.83 deg, d 1.940, I = 1000
- 67.99 deg, d 1.379, I = 202

Structure:
a = 3.882 Å, b = 11.754 Å, c = 8.174 Å
α = 90.00°, β = 90.00°, γ = 90.00°
Atoms (fractional coordinates):
Mg 0.250 0.057 0.243
Mg 0.250 0.443 0.243
Mg 0.250 0.750 0.233
Mg 0.750 0.250 0.767
Mg 0.750 0.557 0.757
Mg 0.750 0.943 0.757
Si 0.250 0.090 0.860
Si 0.250 0.410 0.860
Si 0.250 0.634 0.530
Si 0.250 0.750 0.805
Si 0.250 0.866 0.530
Si 0.750 0.134 0.470
Si 0.750 0.250 0.195
Si 0.750 0.366 0.470
Si 0.750 0.590 0.140
Si 0.750 0.910 0.140
Ni 0.250 0.062 0.579
Ni 0.250 0.250 0.031
Ni 0.250 0.250 0.407
Ni 0.250 0.438 0.579
Ni 0.250 0.590 0.988
Ni 0.250 0.910 0.988
Ni 0.750 0.090 0.012
Ni 0.750 0.410 0.012
Ni 0.750 0.562 0.421
Ni 0.750 0.750 0.593
Ni 0.750 0.750 0.969
Ni 0.750 0.938 0.421


[4]
Diffraction record for Mg6Si7Ni16. The powder diffractogram is computed, not measured: it uses a structure optimized by DFT (GGA-PBE) and Cu Kα.
Intensities are scaled so that the largest is 1000.

Principal peaks in the range 5° ≤ 2θ ≤ 70°, sorted by position:
- 13.55 deg, d 6.534, I = 309
- 15.66 deg, d 5.658, I = 349
- 31.62 deg, d 2.829, I = 318
- 38.99 deg, d 2.310, I = 100
- 41.46 deg, d 2.178, I = 723
- 45.33 deg, d 2.001, I = 1000
- 47.53 deg, d 1.913, I = 470
- 48.25 deg, d 1.886, I = 112
- 51.04 deg, d 1.789, I = 141
- 53.06 deg, d 1.726, I = 217

Structure:
a = 8.002 Å, b = 8.002 Å, c = 8.002 Å
α = 60.00°, β = 60.00°, γ = 60.00°
Atoms (fractional coordinates):
Mg 0.204 0.204 0.796
Mg 0.204 0.796 0.204
Mg 0.204 0.796 0.796
Mg 0.796 0.204 0.204
Mg 0.796 0.204 0.796
Mg 0.796 0.796 0.204
Si 0.000 0.000 0.500
Si 0.000 0.500 0.000
Si 0.000 0.500 0.500
Si 0.500 0.000 0.000
Si 0.500 0.000 0.500
Si 0.500 0.500 0.000
Si 0.500 0.500 0.500
Ni 0.146 0.618 0.618
Ni 0.168 0.168 0.168
Ni 0.168 0.168 0.496
Ni 0.168 0.496 0.168
Ni 0.382 0.382 0.382
Ni 0.382 0.382 0.854
Ni 0.382 0.854 0.382
Ni 0.496 0.168 0.168
Ni 0.504 0.832 0.832
Ni 0.618 0.146 0.618
Ni 0.618 0.618 0.146
Ni 0.618 0.618 0.618
Ni 0.832 0.504 0.832
Ni 0.832 0.832 0.504
Ni 0.832 0.832 0.832
Ni 0.854 0.382 0.382